Entry 1:
Calculated X-ray diffraction stick pattern of Li3Ag2As4HO14 for CuKα, from the GGA-PBE geometry in OQMD.
Kinematic intensities with the Lorentz-polarization factor, no thermal factor.

Largest 10 diffraction maxima, in order of falling intensity, 2θ from 10° to 90°:
two_theta  I (rel.)
21.18  100.0
32.08  46.8
32.85  39.6
14.28  38.5
22.39  37.7
19.86  35.7
36.26  31.8
33.10  29.4
26.57  23.2
24.92  22.8

Structural model:
```
24
Lattice="5.042 0.000 0.000 -2.252 4.699 0.000 -1.993 -1.194 12.402" Properties=species:S:1:pos:R:3 pbc="T T T"
Li 0.000 0.000 0.000
Li 0.471 0.345 6.606
Li 0.326 3.159 5.796
Ag -1.949 4.332 3.197
Ag 2.745 -0.828 9.205
As -1.853 1.982 7.736
As -1.591 1.806 10.867
As 2.388 1.698 1.534
As 2.649 1.522 4.666
H 2.521 0.000 0.000
O -2.525 2.244 9.406
O -1.071 0.468 7.940
O -1.441 0.116 10.946
O -0.920 1.549 5.513
O -2.412 2.530 12.168
O 0.832 1.018 1.683
O -0.868 3.382 7.515
O 1.665 0.122 4.886
O -0.035 2.486 10.719
O 3.209 0.975 0.233
O 1.717 1.955 6.889
O 2.238 3.388 1.456
O 1.868 3.037 4.462
O 3.322 1.260 2.996
```

---

Entry 2:
Calculated X-ray diffraction stick pattern of Pm4Pd4O11 for CuKα, from the GGA-PBE geometry in OQMD.
Kinematic intensities with the Lorentz-polarization factor, no thermal factor.

Largest 10 diffraction maxima, in order of falling intensity, 2θ from 10° to 90°:
two_theta  I (rel.)
32.46  100.0
32.87  52.5
32.33  52.3
32.61  50.8
29.69  40.0
48.21  30.8
32.02  27.0
24.89  22.8
25.10  21.3
45.14  16.0

Structural model:
```
19
Lattice="5.450 0.000 0.000 -0.066 6.017 0.000 -0.037 -0.004 7.549" Properties=species:S:1:pos:R:3 pbc="T T T"
Pm 0.000 0.000 0.000
Pm 0.240 0.991 3.766
Pm 2.497 3.889 3.927
Pm 2.824 2.861 0.142
Pd -0.057 3.471 5.730
Pd 2.800 0.395 5.686
Pd 2.881 0.289 1.921
Pd 5.322 3.523 1.924
O 0.664 3.741 0.073
O 0.940 5.327 5.308
O 0.995 5.284 2.333
O 1.691 2.260 5.394
O 1.850 2.367 2.361
O 2.188 0.659 0.050
O 3.564 0.008 3.811
O 3.701 4.596 6.318
O 4.456 1.606 6.125
O 4.540 1.563 1.523
O 4.689 3.162 3.825
```

---

Entry 3:
Calculated X-ray diffraction stick pattern of La3Zr4 for CuKα, from the GGA-PBE geometry in OQMD.
Kinematic intensities with the Lorentz-polarization factor, no thermal factor.

Largest 10 diffraction maxima, in order of falling intensity, 2θ from 10° to 90°:
two_theta  I (rel.)
34.17  100.0
33.03  27.5
29.80  23.9
59.72  19.5
63.78  17.1
52.89  15.2
45.07  15.1
64.48  9.9
27.86  7.8
25.45  7.8

Structural model:
```
14
Lattice="9.161 0.000 0.000 -4.580 7.933 0.000 0.000 0.000 5.425" Properties=species:S:1:pos:R:3 pbc="T T T"
La -0.623 2.115 1.356
La -2.438 7.415 1.356
La 1.520 1.597 4.068
La 3.060 6.337 1.356
La 7.018 0.518 4.068
La 5.203 5.819 4.068
Zr -1.332 4.070 4.068
Zr 0.000 5.289 1.356
Zr -0.390 7.052 4.068
Zr 1.722 4.745 4.068
Zr 2.858 3.188 1.356
Zr 4.970 0.881 1.356
Zr 4.580 2.644 4.068
Zr 5.912 3.864 1.356
```

---

Entry 4:
Calculated X-ray diffraction stick pattern of Al4Co25 for CuKα, from the GGA-PBE geometry in OQMD.
Kinematic intensities with the Lorentz-polarization factor, no thermal factor.

Largest 10 diffraction maxima, in order of falling intensity, 2θ from 10° to 90°:
two_theta  I (rel.)
44.61  100.0
49.61  31.5
54.27  24.3
82.19  23.6
51.98  9.5
25.31  9.4
78.47  8.0
41.93  7.5
84.04  7.0
76.59  5.0

Structural model:
```
29
Lattice="-4.309 4.309 4.309 4.309 -4.309 4.309 4.309 4.309 -4.309" Properties=species:S:1:pos:R:3 pbc="T T T"
Al 2.775 2.775 -2.775
Al 2.775 -2.775 2.775
Al 1.535 1.535 1.535
Al -2.775 2.775 2.775
Co 0.000 0.000 0.000
Co 2.445 0.792 -0.792
Co 2.445 -0.792 0.792
Co 4.641 1.231 -1.231
Co 4.641 -1.231 1.231
Co 6.173 0.792 0.792
Co 0.792 2.445 -0.792
Co 0.792 -0.792 2.445
Co 3.978 1.231 1.231
Co 3.078 3.078 -0.332
Co 3.078 -0.332 3.078
Co -0.792 2.445 0.792
Co -0.792 0.792 2.445
Co 1.231 4.641 -1.231
Co 1.231 -1.231 4.641
Co 1.231 3.978 1.231
Co 1.231 1.231 3.978
Co 3.517 3.517 1.864
Co 3.517 1.864 3.517
Co -1.231 4.641 1.231
Co -1.231 1.231 4.641
Co -0.332 3.078 3.078
Co 0.792 6.173 0.792
Co 0.792 0.792 6.173
Co 1.864 3.517 3.517
```

---

Entry 5:
Calculated X-ray diffraction stick pattern of Sm2SiMo2C2 for CuKα, from the GGA-PBE geometry in OQMD.
Kinematic intensities with the Lorentz-polarization factor, no thermal factor.

Largest 10 diffraction maxima, in order of falling intensity, 2θ from 10° to 90°:
two_theta  I (rel.)
32.45  100.0
36.31  58.9
32.24  40.6
35.73  37.7
27.17  35.2
13.49  28.7
54.99  21.5
29.45  19.4
44.06  16.6
45.25  13.4

Structural model:
```
7
Lattice="6.626 -1.651 0.000 6.626 1.651 0.000 -0.785 0.000 5.753" Properties=species:S:1:pos:R:3 pbc="T T T"
Sm 1.447 0.000 2.204
Sm 11.020 0.000 3.549
Si 6.626 0.000 0.000
Mo 4.284 0.000 0.617
Mo 8.183 0.000 5.136
C 2.640 0.000 4.434
C 9.827 0.000 1.319
```

---

Entry 6:
Calculated X-ray diffraction stick pattern of TbPr2Bi3 for CuKα, from the GGA-PBE geometry in OQMD.
Kinematic intensities with the Lorentz-polarization factor, no thermal factor.

Largest 10 diffraction maxima, in order of falling intensity, 2θ from 10° to 90°:
two_theta  I (rel.)
27.57  100.0
39.38  78.4
48.79  21.5
71.47  20.9
64.45  18.9
64.32  18.2
56.92  13.5
48.63  6.9
71.26  6.6
23.82  5.0

Structural model:
```
6
Lattice="4.570 0.000 0.000 -2.285 3.958 0.000 0.000 0.000 11.234" Properties=species:S:1:pos:R:3 pbc="T T T"
Tb 0.000 0.000 0.000
Pr 0.000 2.639 3.694
Pr 2.285 1.319 7.540
Bi 0.000 0.000 5.617
Bi 0.000 2.639 9.452
Bi 2.285 1.319 1.781
```